No. 1
Starting from the PBE geometry in Alexandria, the powder XRD pattern of Rb2NpSbSe4 was simulated for λ = 1.5418 Å (Cu Kα).
Lines closer than 0.1° are merged.

Crystal structure
```
Rb2NpSbSe4
1.0
8.0194 0.0000 0.0000
0.0000 8.0194 0.0000
0.0000 0.0000 9.9901
Rb Np Sb Se
4 2 2 8
Direct
0.0000 0.0000 0.0000 Rb
0.0000 0.5000 0.2500 Rb
0.5000 0.0000 0.7500 Rb
0.5000 0.5000 0.5000 Rb
0.0000 0.0000 0.5000 Np
0.5000 0.5000 0.0000 Np
0.0000 0.5000 0.7500 Sb
0.5000 0.0000 0.2500 Sb
0.1822 0.2514 0.6252 Se
0.2486 0.6822 0.8748 Se
0.2514 0.8178 0.3748 Se
0.3178 0.2486 0.1252 Se
0.6822 0.7514 0.1252 Se
0.7486 0.1822 0.3748 Se
0.7514 0.3178 0.8748 Se
0.8178 0.7486 0.6252 Se
```

Peak list (12 most intense, 2θ from 10° to 90°, by intensity)
- 2θ = 23.74°, d = 3.748 Å, rel. 100
- 2θ = 39.87°, d = 2.261 Å, rel. 44
- 2θ = 14.16°, d = 6.254 Å, rel. 37
- 2θ = 42.65°, d = 2.120 Å, rel. 36
- 2θ = 31.56°, d = 2.835 Å, rel. 36
- 2θ = 63.91°, d = 1.457 Å, rel. 13
- 2θ = 41.60°, d = 2.171 Å, rel. 12
- 2θ = 61.85°, d = 1.500 Å, rel. 11
- 2θ = 45.23°, d = 2.005 Å, rel. 11
- 2θ = 22.17°, d = 4.010 Å, rel. 11
- 2θ = 36.83°, d = 2.440 Å, rel. 10
- 2θ = 26.40°, d = 3.375 Å, rel. 10

No. 2
Starting from the PBE geometry in Alexandria, the powder XRD pattern of Ba2Al2Zn7 was simulated for λ = 1.5418 Å (Cu Kα).
Lines closer than 0.1° are merged.

Crystal structure
```
Ba2Al2Zn7
1.0
6.0420 -3.5539 0.0000
6.0420 3.5539 0.0000
-3.4447 0.0000 5.5163
Ba Al Zn
2 2 7
Direct
0.2485 0.7515 0.0000 Ba
0.7515 0.2485 0.0000 Ba
0.2325 0.2325 0.5324 Al
0.7675 0.7675 0.4676 Al
0.0000 0.0000 0.5000 Zn
0.1777 0.5442 0.3563 Zn
0.2359 0.2359 0.9370 Zn
0.4558 0.8223 0.6437 Zn
0.5442 0.1777 0.3563 Zn
0.7641 0.7641 0.0630 Zn
0.8223 0.4558 0.6437 Zn
```

Peak list (12 most intense, 2θ from 10° to 90°, by intensity)
- 2θ = 39.01°, d = 2.309 Å, rel. 100
- 2θ = 37.49°, d = 2.399 Å, rel. 84
- 2θ = 29.66°, d = 3.012 Å, rel. 77
- 2θ = 27.43°, d = 3.252 Å, rel. 69
- 2θ = 30.61°, d = 2.920 Å, rel. 61
- 2θ = 29.98°, d = 2.981 Å, rel. 56
- 2θ = 40.52°, d = 2.226 Å, rel. 45
- 2θ = 32.77°, d = 2.733 Å, rel. 45
- 2θ = 39.21°, d = 2.298 Å, rel. 40
- 2θ = 29.41°, d = 3.037 Å, rel. 39
- 2θ = 32.46°, d = 2.758 Å, rel. 37
- 2θ = 53.62°, d = 1.709 Å, rel. 31

No. 3
Starting from the PBE geometry in Alexandria, the powder XRD pattern of BaTlPbAuF was simulated for λ = 1.5418 Å (Cu Kα).
Lines closer than 0.1° are merged.

Crystal structure
```
BaTlPbAuF
1.0
3.7923 0.0000 0.0000
0.0000 4.0150 0.0000
0.0000 0.0000 9.5619
Ba Tl Pb Au F
1 1 1 1 1
Direct
0.0000 0.0000 0.0000 Ba
0.5000 0.0000 0.6359 Tl
0.0000 0.5000 0.4023 Pb
0.5000 0.0000 0.2933 Au
0.5000 0.5000 0.9676 F
```

Peak list (12 most intense, 2θ from 10° to 90°, by intensity)
- 2θ = 33.84°, d = 2.649 Å, rel. 100
- 2θ = 30.08°, d = 2.971 Å, rel. 54
- 2θ = 35.98°, d = 2.496 Å, rel. 49
- 2θ = 32.48°, d = 2.757 Å, rel. 40
- 2θ = 27.99°, d = 3.187 Å, rel. 39
- 2θ = 36.84°, d = 2.440 Å, rel. 32
- 2θ = 29.04°, d = 3.075 Å, rel. 29
- 2θ = 22.14°, d = 4.015 Å, rel. 24
- 2θ = 37.66°, d = 2.388 Å, rel. 24
- 2θ = 45.17°, d = 2.008 Å, rel. 23
- 2θ = 61.40°, d = 1.510 Å, rel. 22
- 2θ = 55.22°, d = 1.663 Å, rel. 20